Record 1
Structure and simulated PXRD pattern of Rb2AlFeH (a PBE-relaxed structure; Cu Kα, 1.54184 Å).
Lines closer than 0.1° are merged.

Most intense lines, 15 to 90 degrees two-theta, low angle first:
| Position (°2θ) | d_spacing | I/Imax |
| --- | --- | --- |
| 18.6 | 4.762 | 25 |
| 26.5 | 3.368 | 100 |
| 37.8 | 2.381 | 25 |
| 46.7 | 1.944 | 40 |
| 61.6 | 1.506 | 17 |
| 74.6 | 1.273 | 19 |

Lattice parameters (Å, degrees): 6.737 6.737 4.760 90.00 90.00 90.00
Fractional positions:
Rb (0.000, 0.500, 0.000)
Rb (0.500, 0.000, 0.000)
Al (0.000, 0.000, 0.000)
Fe (0.000, 0.000, 0.500)
H (0.500, 0.500, 0.500)


Record 2
Structure and simulated PXRD pattern of HfAl10Fe2 (a PBE-relaxed structure; Cu Kα, 1.54184 Å).
Lines closer than 0.1° are merged.

Most intense lines, 15 to 90 degrees two-theta, low angle first:
| Position (°2θ) | d_spacing | I/Imax |
| --- | --- | --- |
| 16.7 | 5.303 | 56 |
| 28.5 | 3.128 | 36 |
| 28.8 | 3.098 | 40 |
| 35.2 | 2.548 | 49 |
| 40.9 | 2.205 | 100 |
| 41.5 | 2.176 | 84 |

Lattice parameters (Å, degrees): 6.664 6.664 8.877 90.00 90.00 97.16
Fractional positions:
Hf (0.132, 0.868, 0.750)
Hf (0.868, 0.132, 0.250)
Al (0.141, 0.420, 0.750)
Al (0.147, 0.853, 0.096)
Al (0.147, 0.853, 0.404)
Al (0.216, 0.478, 0.250)
Al (0.227, 0.227, 0.000)
Al (0.227, 0.227, 0.500)
Al (0.371, 0.629, 0.544)
Al (0.371, 0.629, 0.956)
Al (0.420, 0.141, 0.250)
Al (0.478, 0.216, 0.750)
Al (0.522, 0.784, 0.250)
Al (0.580, 0.859, 0.750)
Al (0.629, 0.371, 0.044)
Al (0.629, 0.371, 0.456)
Al (0.773, 0.773, 0.000)
Al (0.773, 0.773, 0.500)
Al (0.784, 0.522, 0.750)
Al (0.853, 0.147, 0.596)
Al (0.853, 0.147, 0.904)
Al (0.859, 0.580, 0.250)
Fe (0.000, 0.500, 0.000)
Fe (0.000, 0.500, 0.500)
Fe (0.500, 0.000, 0.000)
Fe (0.500, 0.000, 0.500)


Record 3
Structure and simulated PXRD pattern of Hf4AlFe (a PBE-relaxed structure; Cu Kα, 1.54184 Å).
Lines closer than 0.1° are merged.

Most intense lines, 15 to 90 degrees two-theta, low angle first:
| Position (°2θ) | d_spacing | I/Imax |
| --- | --- | --- |
| 32.2 | 2.776 | 22 |
| 34.8 | 2.576 | 100 |
| 42.8 | 2.111 | 22 |
| 44.0 | 2.056 | 16 |
| 59.2 | 1.561 | 22 |
| 61.1 | 1.517 | 18 |

Lattice parameters (Å, degrees): 6.503 6.503 5.552 90.00 90.00 90.00
Fractional positions:
Hf (0.150, 0.312, 0.000)
Hf (0.150, 0.688, 0.500)
Hf (0.312, 0.150, 0.500)
Hf (0.312, 0.850, 0.000)
Hf (0.688, 0.150, 0.000)
Hf (0.688, 0.850, 0.500)
Hf (0.850, 0.312, 0.500)
Hf (0.850, 0.688, 0.000)
Al (0.500, 0.500, 0.250)
Al (0.500, 0.500, 0.750)
Fe (0.000, 0.000, 0.250)
Fe (0.000, 0.000, 0.750)


Record 4
Structure and simulated PXRD pattern of HfAlFeTc2 (a PBE-relaxed structure; Cu Kα, 1.54184 Å).
Lines closer than 0.1° are merged.

Most intense lines, 15 to 90 degrees two-theta, low angle first:
| Position (°2θ) | d_spacing | I/Imax |
| --- | --- | --- |
| 28.9 | 3.085 | 61 |
| 35.3 | 2.540 | 100 |
| 40.3 | 2.237 | 62 |
| 42.4 | 2.131 | 27 |
| 60.0 | 1.543 | 38 |
| 70.1 | 1.343 | 27 |

Lattice parameters (Å, degrees): 4.473 4.473 4.261 90.00 90.00 90.00
Fractional positions:
Hf (0.000, 0.000, 0.000)
Al (0.500, 0.500, 0.000)
Fe (0.500, 0.500, 0.500)
Tc (0.000, 0.500, 0.500)
Tc (0.500, 0.000, 0.500)


Record 5
Structure and simulated PXRD pattern of AlFe4Hg (a PBE-relaxed structure; Cu Kα, 1.54184 Å).
Lines closer than 0.1° are merged.

Most intense lines, 15 to 90 degrees two-theta, low angle first:
| Position (°2θ) | d_spacing | I/Imax |
| --- | --- | --- |
| 22.3 | 3.994 | 32 |
| 25.8 | 3.459 | 33 |
| 36.7 | 2.446 | 45 |
| 43.4 | 2.086 | 100 |
| 45.4 | 1.997 | 27 |
| 70.8 | 1.331 | 31 |

Lattice parameters (Å, degrees): 4.891 4.891 4.891 60.00 60.00 60.00
Fractional positions:
Al (0.000, 0.000, 0.000)
Fe (0.122, 0.626, 0.626)
Fe (0.626, 0.122, 0.626)
Fe (0.626, 0.626, 0.122)
Fe (0.626, 0.626, 0.626)
Hg (0.250, 0.250, 0.250)


Record 6
Structure and simulated PXRD pattern of Ho12AlFe6 (a PBE-relaxed structure; Cu Kα, 1.54184 Å).
Lines closer than 0.1° are merged.

Most intense lines, 15 to 90 degrees two-theta, low angle first:
| Position (°2θ) | d_spacing | I/Imax |
| --- | --- | --- |
| 29.4 | 3.040 | 45 |
| 32.3 | 2.775 | 61 |
| 34.9 | 2.569 | 100 |
| 37.4 | 2.403 | 24 |
| 55.8 | 1.649 | 43 |
| 59.3 | 1.559 | 38 |

Lattice parameters (Å, degrees): 8.325 8.325 8.325 109.47 109.47 109.47
Fractional positions:
Ho (0.102, 0.806, 0.296)
Ho (0.194, 0.296, 0.490)
Ho (0.194, 0.704, 0.898)
Ho (0.296, 0.102, 0.806)
Ho (0.296, 0.490, 0.194)
Ho (0.490, 0.194, 0.296)
Ho (0.510, 0.806, 0.704)
Ho (0.704, 0.510, 0.806)
Ho (0.704, 0.898, 0.194)
Ho (0.806, 0.296, 0.102)
Ho (0.806, 0.704, 0.510)
Ho (0.898, 0.194, 0.704)
Al (0.000, 0.000, 0.000)
Fe (0.111, 0.611, 0.500)
Fe (0.389, 0.500, 0.889)
Fe (0.500, 0.111, 0.611)
Fe (0.500, 0.889, 0.389)
Fe (0.611, 0.500, 0.111)
Fe (0.889, 0.389, 0.500)


Record 7
Structure and simulated PXRD pattern of Ho2Al3Fe (a PBE-relaxed structure; Cu Kα, 1.54184 Å).
Lines closer than 0.1° are merged.

Most intense lines, 15 to 90 degrees two-theta, low angle first:
| Position (°2θ) | d_spacing | I/Imax |
| --- | --- | --- |
| 19.8 | 4.477 | 51 |
| 20.5 | 4.340 | 36 |
| 32.5 | 2.753 | 100 |
| 33.3 | 2.688 | 63 |
| 38.7 | 2.324 | 100 |
| 39.4 | 2.285 | 44 |

Lattice parameters (Å, degrees): 5.379 5.379 5.379 61.56 61.56 61.56
Fractional positions:
Ho (0.126, 0.126, 0.126)
Ho (0.874, 0.874, 0.874)
Al (0.000, 0.500, 0.500)
Al (0.500, 0.000, 0.500)
Al (0.500, 0.500, 0.000)
Fe (0.500, 0.500, 0.500)


Record 8
Structure and simulated PXRD pattern of Ho4Al16Fe3 (a PBE-relaxed structure; Cu Kα, 1.54184 Å).
Lines closer than 0.1° are merged.

Most intense lines, 15 to 90 degrees two-theta, low angle first:
| Position (°2θ) | d_spacing | I/Imax |
| --- | --- | --- |
| 20.9 | 4.253 | 94 |
| 29.7 | 3.008 | 42 |
| 31.9 | 2.805 | 87 |
| 33.8 | 2.650 | 44 |
| 38.4 | 2.342 | 100 |
| 42.5 | 2.127 | 65 |

Lattice parameters (Å, degrees): 6.015 6.015 11.197 90.00 90.00 90.00
Fractional positions:
Ho (0.000, 0.500, 0.192)
Ho (0.000, 0.500, 0.808)
Ho (0.500, 0.000, 0.192)
Ho (0.500, 0.000, 0.808)
Al (0.000, 0.000, 0.195)
Al (0.000, 0.000, 0.805)
Al (0.225, 0.225, 0.000)
Al (0.225, 0.775, 0.000)
Al (0.251, 0.251, 0.385)
Al (0.251, 0.251, 0.615)
Al (0.251, 0.749, 0.385)
Al (0.251, 0.749, 0.615)
Al (0.500, 0.500, 0.212)
Al (0.500, 0.500, 0.788)
Al (0.749, 0.251, 0.385)
Al (0.749, 0.251, 0.615)
Al (0.749, 0.749, 0.385)
Al (0.749, 0.749, 0.615)
Al (0.775, 0.225, 0.000)
Al (0.775, 0.775, 0.000)
Fe (0.000, 0.500, 0.500)
Fe (0.500, 0.000, 0.500)
Fe (0.500, 0.500, 0.000)


Repeat the sixth record exactly.
Structure and simulated PXRD pattern of Ho12AlFe6 (a PBE-relaxed structure; Cu Kα, 1.54184 Å).
Lines closer than 0.1° are merged.

Most intense lines, 15 to 90 degrees two-theta, low angle first:
| Position (°2θ) | d_spacing | I/Imax |
| --- | --- | --- |
| 29.4 | 3.040 | 45 |
| 32.3 | 2.775 | 61 |
| 34.9 | 2.569 | 100 |
| 37.4 | 2.403 | 24 |
| 55.8 | 1.649 | 43 |
| 59.3 | 1.559 | 38 |

Lattice parameters (Å, degrees): 8.325 8.325 8.325 109.47 109.47 109.47
Fractional positions:
Ho (0.102, 0.806, 0.296)
Ho (0.194, 0.296, 0.490)
Ho (0.194, 0.704, 0.898)
Ho (0.296, 0.102, 0.806)
Ho (0.296, 0.490, 0.194)
Ho (0.490, 0.194, 0.296)
Ho (0.510, 0.806, 0.704)
Ho (0.704, 0.510, 0.806)
Ho (0.704, 0.898, 0.194)
Ho (0.806, 0.296, 0.102)
Ho (0.806, 0.704, 0.510)
Ho (0.898, 0.194, 0.704)
Al (0.000, 0.000, 0.000)
Fe (0.111, 0.611, 0.500)
Fe (0.389, 0.500, 0.889)
Fe (0.500, 0.111, 0.611)
Fe (0.500, 0.889, 0.389)
Fe (0.611, 0.500, 0.111)
Fe (0.889, 0.389, 0.500)